[1]
This entry pairs a crystal structure of Cd5Au3 with its theoretical powder diffractogram. Radiation: Cu Kα. Structure: a DFT-relaxed cell (GGA-PBE, the Materials Project).
No peak broadening, texture or thermal motion is included.

Cell and atoms:
Cell: 8.234 8.234 8.234 Å, 96.38 96.38 141.07°
Positions (direct):
Cd 0.079 0.775 0.855
Cd 0.225 0.079 0.304
Cd 0.250 0.750 0.500
Cd 0.275 0.579 0.855
Cd 0.421 0.275 0.696
Cd 0.579 0.725 0.304
Cd 0.725 0.421 0.145
Cd 0.750 0.250 0.500
Cd 0.775 0.921 0.696
Cd 0.921 0.225 0.145
Au 0.165 0.335 0.500
Au 0.250 0.250 0.000
Au 0.335 0.835 0.169
Au 0.665 0.165 0.831
Au 0.750 0.750 0.000
Au 0.835 0.665 0.500

Largest 10 diffraction maxima, low angle first, 10 to 80 degrees two-theta:
| two_theta | I_rel |
| --- | --- |
| 32.6 | 174 |
| 33.7 | 219 |
| 36.6 | 1000 |
| 37.5 | 813 |
| 40.2 | 219 |
| 46.8 | 156 |
| 47.6 | 210 |
| 48.3 | 242 |
| 61.5 | 188 |
| 70.8 | 234 |

---

[2]
This entry pairs a crystal structure of MgSi with its theoretical powder diffractogram. Radiation: Cu Kα. Structure: a DFT-relaxed cell (GGA-PBE, the Materials Project).
No peak broadening, texture or thermal motion is included.

Cell and atoms:
Cell: 6.131 6.131 11.066 Å, 104.58 104.58 35.48°
Positions (direct):
Mg 0.073 0.073 0.166
Mg 0.201 0.201 0.859
Mg 0.350 0.350 0.590
Mg 0.650 0.650 0.410
Mg 0.799 0.799 0.141
Mg 0.927 0.927 0.834
Si 0.048 0.048 0.614
Si 0.311 0.311 0.338
Si 0.411 0.411 0.026
Si 0.589 0.589 0.974
Si 0.689 0.689 0.662
Si 0.952 0.952 0.386

Largest 10 diffraction maxima, low angle first, 10 to 80 degrees two-theta:
| two_theta | I_rel |
| --- | --- |
| 33.6 | 371 |
| 33.8 | 399 |
| 34.2 | 758 |
| 34.9 | 1000 |
| 36.4 | 435 |
| 40.8 | 474 |
| 44.1 | 552 |
| 46.1 | 326 |
| 46.9 | 328 |
| 48.7 | 576 |

---

[3]
This entry pairs a crystal structure of TmSeO3 with its theoretical powder diffractogram. Radiation: Cu Kα. Structure: a DFT-relaxed cell (GGA-PBE, the Materials Project).
No peak broadening, texture or thermal motion is included.

Cell and atoms:
Cell: 5.917 12.417 8.734 Å, 90.00 106.01 90.00°
Positions (direct):
Tm 0.136 0.244 0.144
Tm 0.136 0.256 0.644
Tm 0.259 0.560 0.086
Tm 0.259 0.940 0.586
Tm 0.741 0.060 0.414
Tm 0.741 0.440 0.914
Tm 0.864 0.744 0.356
Tm 0.864 0.756 0.856
Se 0.129 0.515 0.675
Se 0.129 0.985 0.175
Se 0.454 0.660 0.496
Se 0.454 0.840 0.996
Se 0.546 0.160 0.004
Se 0.546 0.340 0.504
Se 0.871 0.015 0.825
Se 0.871 0.485 0.325
O 0.051 0.594 0.283
O 0.051 0.906 0.783
O 0.094 0.094 0.581
O 0.094 0.406 0.081
O 0.248 0.741 0.999
O 0.248 0.759 0.499
O 0.282 0.228 0.913
O 0.282 0.272 0.413
O 0.370 0.518 0.854
O 0.370 0.982 0.354
O 0.487 0.673 0.306
O 0.487 0.827 0.806
O 0.513 0.173 0.194
O 0.513 0.327 0.694
O 0.630 0.018 0.646
O 0.630 0.482 0.146
O 0.718 0.728 0.587
O 0.718 0.772 0.087
O 0.752 0.241 0.501
O 0.752 0.259 0.001
O 0.906 0.594 0.919
O 0.906 0.906 0.419
O 0.949 0.094 0.217
O 0.949 0.406 0.717

Largest 10 diffraction maxima, low angle first, 10 to 80 degrees two-theta:
| two_theta | I_rel |
| --- | --- |
| 12.7 | 286 |
| 23.7 | 514 |
| 26.6 | 1000 |
| 29.7 | 794 |
| 30.3 | 693 |
| 31.1 | 397 |
| 32.3 | 830 |
| 32.8 | 355 |
| 43.1 | 350 |
| 44.2 | 291 |

---

[4]
This entry pairs a crystal structure of Tb2TiCuO6 with its theoretical powder diffractogram. Radiation: Cu Kα. Structure: a DFT-relaxed cell (GGA-PBE, the Materials Project).
No peak broadening, texture or thermal motion is included.

Cell and atoms:
Cell: 3.657 3.657 11.345 Å, 90.00 90.00 120.00°
Positions (direct):
Tb 0.000 0.000 0.000
Tb 0.000 0.000 0.452
Ti 0.333 0.667 0.725
Cu 0.667 0.333 0.226
O 0.000 0.000 0.226
O 0.000 0.000 0.726
O 0.333 0.667 0.562
O 0.333 0.667 0.890
O 0.667 0.333 0.057
O 0.667 0.333 0.394

Largest 10 diffraction maxima, low angle first, 10 to 80 degrees two-theta:
| two_theta | I_rel |
| --- | --- |
| 15.6 | 329 |
| 28.2 | 495 |
| 29.3 | 260 |
| 31.5 | 265 |
| 32.4 | 1000 |
| 37.0 | 179 |
| 42.8 | 303 |
| 49.4 | 183 |
| 49.9 | 416 |
| 60.2 | 242 |

---

[5]
This entry pairs a crystal structure of SrAg5 with its theoretical powder diffractogram. Radiation: Cu Kα. Structure: a DFT-relaxed cell (GGA-PBE, the Materials Project).
No peak broadening, texture or thermal motion is included.

Cell and atoms:
Cell: 5.767 5.767 4.692 Å, 90.00 90.00 120.00°
Positions (direct):
Sr 0.000 0.000 0.000
Ag 0.000 0.500 0.500
Ag 0.333 0.667 0.000
Ag 0.500 0.000 0.500
Ag 0.500 0.500 0.500
Ag 0.667 0.333 0.000

Largest 10 diffraction maxima, low angle first, 10 to 80 degrees two-theta:
| two_theta | I_rel |
| --- | --- |
| 17.8 | 319 |
| 31.0 | 174 |
| 36.0 | 284 |
| 36.6 | 1000 |
| 38.4 | 340 |
| 40.9 | 521 |
| 53.6 | 172 |
| 58.9 | 237 |
| 64.6 | 205 |
| 77.7 | 240 |